Entry 1:
# DyZn5
Theoretical powder diffractogram, Cu Kα (λ = 1.5418 Å). Input: a cell relaxed with GGA-PBE.
Kinematic intensities with the Lorentz-polarization factor, no thermal factor.

Largest 8 diffraction maxima, sorted by position, 2θ from 10° to 90°:
Position (°2θ), intensity
28.67, 45
33.80, 31
39.22, 35
40.12, 100
42.70, 27
59.36, 20
64.74, 23
86.62, 19

Cell and atoms:
Lattice parameters (Å, degrees): 5.3043 5.3043 4.2349 90.00 90.00 120.00
Space group P6/mmm (No. 191)
Inequivalent atoms, fractional coordinates:
Dy1 0.0000 0.0000 0.0000 [1 per cell]
Zn1 0.0000 0.5000 0.5000 [3 per cell]
Zn2 0.3333 0.6667 0.0000 [2 per cell]

Entry 2:
# BaLaBr5
Theoretical powder diffractogram, Cu Kα (λ = 1.5418 Å). Input: a cell relaxed with GGA-PBE.
Kinematic intensities with the Lorentz-polarization factor, no thermal factor.

Largest 8 diffraction maxima, sorted by position, 2θ from 10° to 90°:
Position (°2θ), intensity
21.38, 79
25.66, 20
29.51, 94
31.35, 64
33.54, 50
33.67, 100
34.89, 53
47.53, 28

Cell and atoms:
Lattice parameters (Å, degrees): 11.8262 7.6514 10.8974 90.00 90.00 90.00
Space group Pnma (No. 62)
Inequivalent atoms, fractional coordinates:
Ba1 0.1729 0.2500 0.1263 [4 per cell]
La1 0.0295 0.2500 0.6515 [4 per cell]
Br1 0.0612 0.5189 0.8383 [8 per cell]
Br2 0.1445 0.0005 0.4631 [8 per cell]
Br3 0.2057 0.7500 0.1886 [4 per cell]

Entry 3:
# CaGaAu
Theoretical powder diffractogram, Cu Kα (λ = 1.5418 Å). Input: a cell relaxed with GGA-PBE.
Kinematic intensities with the Lorentz-polarization factor, no thermal factor.

Largest 8 diffraction maxima, sorted by position, 2θ from 10° to 90°:
Position (°2θ), intensity
22.44, 53
24.23, 63
25.54, 74
25.91, 50
33.26, 94
39.14, 60
39.88, 100
47.22, 52

Cell and atoms:
Lattice parameters (Å, degrees): 7.3451 4.6028 7.7847 90.00 90.00 90.00
Space group Pnma (No. 62)
Inequivalent atoms, fractional coordinates:
Ca1 0.0059 0.2500 0.2005 [4 per cell]
Ga1 0.1804 0.2500 0.5795 [4 per cell]
Au1 0.2069 0.7500 0.4066 [4 per cell]